# 1
For SmScHg6, a crystal structure in Alexandria, relaxed with PBE gives the computed powder diffraction line list in this record (Cu Kα).

Top 12 peaks for 10 to 80 degrees two-theta, sorted by position:
Position (°2θ), d [Å], I/Imax, hkl
15.47, 5.729, 4, 0 0 2
23.65, 3.761, 8, 1 1 1
31.23, 2.864, 25, 0 2 2
36.02, 2.493, 23, 2 0 0
36.16, 2.484, 100, 1 0 4
48.40, 1.881, 15, 2 2 2
55.57, 1.654, 19, 0 4 0
64.85, 1.438, 19, 3 0 4
65.13, 1.432, 3, 0 0 8
68.03, 1.378, 27, 2 4 0
68.13, 1.376, 11, 1 4 4
76.74, 1.242, 4, 2 0 8

Structure:
a b c (Å): 4.987 6.611 11.464
angles (deg): 90.00 90.00 90.00
Space group Amm2 (No. 38)
Inequivalent atoms, fractional coordinates:
Sm 0.000 0.000 0.000 x2
Sc 0.500 0.000 0.335 x2
Hg 0.000 0.000 0.496 x2
Hg 0.000 0.243 0.253 x4
Hg 0.500 0.000 0.830 x2
Hg 0.500 0.245 0.586 x4

# 2
For BaMg5Si2, a crystal structure in Alexandria, relaxed with PBE gives the computed powder diffraction line list in this record (Cu Kα).

Top 12 peaks for 10 to 80 degrees two-theta, sorted by position:
Position (°2θ), d [Å], I/Imax, hkl
13.65, 6.489, 57, 0 1 1
21.87, 4.063, 29, 1 0 1
21.98, 4.044, 33, 0 2 0
26.97, 3.306, 39, 0 1 3
28.40, 3.143, 73, 1 1 2
31.20, 2.866, 100, 1 2 1
32.06, 2.792, 78, 1 0 3
39.98, 2.255, 46, 0 2 4
41.21, 2.190, 30, 2 0 0
42.75, 2.115, 40, 1 3 2
56.13, 1.639, 29, 1 1 6
58.76, 1.571, 29, 2 2 4

Structure:
a b c (Å): 4.381 8.089 10.867
angles (deg): 90.00 90.00 90.00
Space group Immm (No. 71)
Inequivalent atoms, fractional coordinates:
Ba 0.000 0.000 0.000 x2
Mg 0.000 0.185 0.348 x8
Mg 0.000 0.500 0.000 x2
Si 0.000 0.500 0.250 x4

# 3
For LaMg6Si, a crystal structure in Alexandria, relaxed with PBE gives the computed powder diffraction line list in this record (Cu Kα).

Top 12 peaks for 10 to 80 degrees two-theta, sorted by position:
Position (°2θ), d [Å], I/Imax, hkl
13.21, 6.705, 63, 0 0 2
16.37, 5.414, 72, 0 1 1
18.10, 4.901, 36, 1 0 0
22.47, 3.957, 37, 1 0 2
24.50, 3.633, 77, 1 1 1
31.01, 2.884, 78, 1 1 3
32.36, 2.767, 95, 1 0 4
33.09, 2.707, 60, 0 2 2
36.67, 2.451, 49, 2 0 0
36.79, 2.443, 33, 0 1 5
37.97, 2.370, 100, 1 2 2
50.22, 1.817, 36, 2 2 2

Structure:
a b c (Å): 4.901 5.918 13.409
angles (deg): 90.00 90.00 90.00
Space group Amm2 (No. 38)
Inequivalent atoms, fractional coordinates:
La 0.000 0.000 0.000 x2
Mg 0.000 0.246 0.743 x4
Mg 0.500 0.000 0.165 x2
Mg 0.500 0.000 0.588 x2
Mg 0.500 0.249 0.375 x4
Si 0.000 0.000 0.431 x2